Entry 1:
Nd4In5S13: calculated powder diffraction line list (copper Kα), based on the PBE geometry in Alexandria.

Top 8 peaks for 2θ = 15–90°, in order of falling intensity:
(hkl)	d/Å	2theta	Rel. int.
3 3 0	3.505	25.4	100
0 6 0	3.611	24.7	60
1 3 1	3.340	26.7	45
2 5 1	2.630	34.1	36
3 1 1	2.796	32.0	33
3 9 0	2.064	43.9	30
1 2 1	3.558	25.0	28
2 7 1	2.261	39.9	27

Structure:
Unit cell a=12.0234 b=21.6677 c=3.9665 alpha=90.00 beta=90.00 gamma=90.00
Space group Pbam (No. 55)
Inequivalent atoms, fractional coordinates:
Nd: 0.0200 0.1699 0.0000 [4 per cell]
Nd: 0.1718 0.3423 0.0000 [4 per cell]
In: 0.0000 0.5000 0.0000 [2 per cell]
In: 0.1531 0.6690 0.5000 [4 per cell]
In: 0.1550 0.9923 0.5000 [4 per cell]
S: 0.0000 0.0000 0.0000 [2 per cell]
S: 0.0037 0.4082 0.5000 [4 per cell]
S: 0.0820 0.2611 0.5000 [4 per cell]
S: 0.1497 0.8669 0.5000 [4 per cell]
S: 0.1625 0.1129 0.5000 [4 per cell]
S: 0.1662 0.7384 0.0000 [4 per cell]
S: 0.2039 0.4772 0.0000 [4 per cell]


Entry 2:
Nd2Tl3InS6: calculated powder diffraction line list (copper Kα), based on the PBE geometry in Alexandria.

Top 8 peaks for 2θ = 15–90°, in order of falling intensity:
(hkl)	d/Å	2theta	Rel. int.
2 0 -2	3.003	29.8	100
2 0 0	3.384	26.3	62
1 3 -3	2.208	40.9	39
0 0 2	3.760	23.7	29
3 3 -1	2.050	44.2	23
4 0 0	1.692	54.2	18
1 3 3	1.904	47.8	16
3 3 1	1.800	50.7	16

Structure:
Unit cell a=7.1057 b=12.2720 c=7.8877 alpha=90.00 beta=107.56 gamma=90.00
Space group C2/m (No. 12)
Inequivalent atoms, fractional coordinates:
Nd: 0.0000 0.1661 0.0000 [4 per cell]
Tl: 0.0000 0.0000 0.5000 [2 per cell]
Tl: 0.0000 0.3304 0.5000 [4 per cell]
In: 0.0000 0.5000 0.0000 [2 per cell]
S: 0.2247 0.3419 0.1987 [8 per cell]
S: 0.2492 0.0000 0.2067 [4 per cell]


Entry 3:
Nd4InSb2: calculated powder diffraction line list (copper Kα), based on the PBE geometry in Alexandria.

Top 8 peaks for 2θ = 15–90°, in order of falling intensity:
(hkl)	d/Å	2theta	Rel. int.
1 0 3	3.117	28.6	100
2 2 0	3.545	25.1	75
3 2 1	2.676	33.5	74
4 0 0	2.507	35.8	44
3 0 1	3.165	28.2	40
3 2 3	2.121	42.6	30
3 3 2	2.130	42.4	30
3 1 4	1.943	46.7	28

Structure:
Unit cell a=10.0271 b=10.0271 c=9.8382 alpha=90.00 beta=90.00 gamma=90.00
Space group I4_1/amd (No. 141, origin choice 2)
Inequivalent atoms, fractional coordinates:
Nd: 0.0000 0.0631 0.1915 [16 per cell]
In: 0.0000 0.2500 0.8750 [4 per cell]
Sb: 0.0000 0.0000 0.5000 [8 per cell]


Entry 4:
Nd6In3Sb: calculated powder diffraction line list (copper Kα), based on the PBE geometry in Alexandria.

Top 8 peaks for 2θ = 15–90°, in order of falling intensity:
(hkl)	d/Å	2theta	Rel. int.
3 3 1	2.710	33.1	100
0 4 2	2.745	32.6	92
3 1 1	2.999	29.8	79
2 4 1	3.022	29.6	59
0 2 2	3.243	27.5	56
1 3 2	2.882	31.0	47
1 7 0	2.478	36.3	38
2 2 2	2.733	32.8	34

Structure:
Unit cell a=10.1469 b=17.8840 c=6.9611 alpha=90.00 beta=90.00 gamma=90.00
Space group Cmc2_1 (No. 36)
Inequivalent atoms, fractional coordinates:
Nd: 0.0000 0.0143 0.0000 [4 per cell]
Nd: 0.0000 0.2816 0.0105 [4 per cell]
Nd: 0.1800 0.2690 0.4827 [8 per cell]
Nd: 0.1902 0.4373 0.2243 [8 per cell]
In: 0.0000 0.4132 0.6520 [4 per cell]
In: 0.2079 0.1075 0.2717 [8 per cell]
Sb: 0.0000 0.1480 0.7037 [4 per cell]


Entry 5:
Nd4ScIn2: calculated powder diffraction line list (copper Kα), based on the PBE geometry in Alexandria.

Top 8 peaks for 2θ = 15–90°, in order of falling intensity:
(hkl)	d/Å	2theta	Rel. int.
0 2 2	3.017	29.6	100
2 2 2	2.746	32.6	71
2 0 0	2.906	30.8	60
1 2 -1	3.061	29.2	58
1 -2 1	2.593	34.6	52
1 0 3	3.094	28.9	38
2 1 3	2.624	34.2	34
1 0 -3	2.517	35.7	33

Structure:
Unit cell a=6.4012 b=7.6432 c=9.9457 alpha=77.49 beta=72.62 gamma=69.39
Space group P1 (No. 1)
Inequivalent atoms, fractional coordinates:
Nd: 0.0000 0.0000 0.0000 [1 per cell]
Nd: 0.0105 0.5651 0.4493 [1 per cell]
Nd: 0.0452 0.0794 0.3509 [1 per cell]
Nd: 0.4551 0.0013 0.5906 [1 per cell]
Nd: 0.4998 0.0668 0.9606 [1 per cell]
Nd: 0.5118 0.4969 0.4878 [1 per cell]
Nd: 0.5558 0.5627 0.8581 [1 per cell]
Nd: 0.9663 0.4855 0.0975 [1 per cell]
Sc: 0.1602 0.3687 0.7759 [1 per cell]
Sc: 0.8511 0.1952 0.6728 [1 per cell]
In: 0.0058 0.7819 0.7248 [1 per cell]
In: 0.3625 0.7061 0.1692 [1 per cell]
In: 0.5054 0.2823 0.2241 [1 per cell]
In: 0.6483 0.8583 0.2794 [1 per cell]


Copy entry 2 word for word.
Nd2Tl3InS6: calculated powder diffraction line list (copper Kα), based on the PBE geometry in Alexandria.

Top 8 peaks for 2θ = 15–90°, in order of falling intensity:
(hkl)	d/Å	2theta	Rel. int.
2 0 -2	3.003	29.8	100
2 0 0	3.384	26.3	62
1 3 -3	2.208	40.9	39
0 0 2	3.760	23.7	29
3 3 -1	2.050	44.2	23
4 0 0	1.692	54.2	18
1 3 3	1.904	47.8	16
3 3 1	1.800	50.7	16

Structure:
Unit cell a=7.1057 b=12.2720 c=7.8877 alpha=90.00 beta=107.56 gamma=90.00
Space group C2/m (No. 12)
Inequivalent atoms, fractional coordinates:
Nd: 0.0000 0.1661 0.0000 [4 per cell]
Tl: 0.0000 0.0000 0.5000 [2 per cell]
Tl: 0.0000 0.3304 0.5000 [4 per cell]
In: 0.0000 0.5000 0.0000 [2 per cell]
S: 0.2247 0.3419 0.1987 [8 per cell]
S: 0.2492 0.0000 0.2067 [4 per cell]